# Na2Ti3MnSi4O22
Calculated powder diffraction line list, Cu Kα (weighted mean of Kα1 and Kα2). Input: a structure optimized by DFT (PBE+U).
Lines closer than 0.1° are merged.

Structural model:
```
data_Na2Ti3MnSi4O22
_space_group_name_H-M_alt 'P 1'
_space_group_IT_number 1
_cell_length_a 5.4115
_cell_length_b 7.1352
_cell_length_c 11.7363
_cell_angle_alpha 84.95
_cell_angle_beta 82.37
_cell_angle_gamma 89.65
loop_
_space_group_symop_operation_xyz
'x,y,z'
loop_
_atom_site_label
_atom_site_fract_x
_atom_site_fract_y
_atom_site_fract_z
Na1 0.0000 0.0000 0.0000
Na2 0.4901 0.7594 0.9792
Ti1 0.0205 0.4734 0.9952
Ti2 0.0638 0.2222 0.2895
Ti3 0.4215 0.0646 0.7350
Mn1 0.4777 0.2666 0.9911
Si1 0.5707 0.9593 0.2148
Si2 0.5815 0.5004 0.2191
Si3 0.8923 0.3384 0.7480
Si4 0.9284 0.7578 0.7632
O1 0.0778 0.6858 0.0705
O2 0.1414 0.6461 0.4659
O3 0.1552 0.2361 0.7100
O4 0.1562 0.2693 0.0861
O5 0.1897 0.8673 0.7227
O6 0.3120 0.0297 0.2843
O7 0.3188 0.5950 0.5146
O8 0.3209 0.4087 0.2836
O9 0.3314 0.4643 0.9082
O10 0.3819 0.0881 0.8957
O11 0.4818 0.0686 0.5530
O12 0.5653 0.7296 0.2158
O13 0.5984 0.0421 0.0781
O14 0.6367 0.4433 0.0830
O15 0.6659 0.2575 0.6887
O16 0.6850 0.8808 0.7391
O17 0.8171 0.0360 0.2636
O18 0.8186 0.4177 0.2800
O19 0.8248 0.3100 0.8926
O20 0.8980 0.7045 0.9047
O21 0.9257 0.5609 0.7028
O22 0.9883 0.1836 0.4495
```

Main lines, in order of rising 2θ (15° ≤ 2θ ≤ 90°):
| 2θ/deg | Rel. int. |
| --- | --- |
| 15.3 | 34.3 |
| 20.6 | 41.6 |
| 21.7 | 81.5 |
| 23.0 | 41.7 |
| 23.8 | 40.2 |
| 30.9 | 100.0 |
| 31.1 | 64.0 |
| 31.9 | 72.1 |
| 33.9 | 46.7 |
| 35.3 | 43.5 |